This entry pairs a crystal structure of Pr2Te4MoO14 with its theoretical PXRD pattern. Radiation: Cu Kα (weighted mean of Kα1 and Kα2). Structure: a PBE+U-relaxed structure.

Peak list (10 most intense, 2θ = 15–90°, by angle)
- (0 2 -2), 2θ 24.75, I 100.0
- (-1 2 2), 2θ 25.40, I 69.0
- (1 1 2), 2θ 27.28, I 53.5
- (2 -1 0), 2θ 27.30, I 90.3
- (-1 1 3), 2θ 27.79, I 28.8
- (-1 3 1), 2θ 28.83, I 24.8
- (2 1 -2), 2θ 29.00, I 62.3
- (1 3 0), 2θ 29.99, I 41.7
- (3 2 0), 2θ 45.04, I 24.2
- (4 0 -2), 2θ 51.84, I 23.0

Lattice parameters (Å, degrees): 7.079 10.304 10.306 90.31 107.32 93.42
Fractional coordinates of all 42 atoms:
1 Pr 0.146 0.305 0.083
2 Pr 0.283 0.536 0.788
3 Pr 0.717 0.464 0.212
4 Pr 0.854 0.695 0.917
5 Te 0.141 0.277 0.457
6 Te 0.239 0.605 0.279
7 Te 0.422 0.829 0.631
8 Te 0.440 0.787 0.045
9 Te 0.560 0.213 0.955
10 Te 0.578 0.171 0.369
11 Te 0.761 0.395 0.721
12 Te 0.859 0.723 0.543
13 Mo 0.026 0.032 0.765
14 Mo 0.974 0.968 0.235
15 O 0.005 0.415 0.864
16 O 0.086 0.398 0.310
17 O 0.097 0.121 0.926
18 O 0.106 0.870 0.368
19 O 0.125 0.117 0.231
20 O 0.198 0.395 0.603
21 O 0.203 0.703 0.932
22 O 0.209 0.701 0.599
23 O 0.249 0.989 0.732
24 O 0.365 0.762 0.211
25 O 0.374 0.491 0.198
26 O 0.401 0.355 0.951
27 O 0.431 0.284 0.456
28 O 0.479 0.230 0.188
29 O 0.521 0.770 0.812
30 O 0.569 0.716 0.544
31 O 0.599 0.645 0.049
32 O 0.626 0.509 0.802
33 O 0.635 0.238 0.789
34 O 0.751 0.011 0.268
35 O 0.791 0.299 0.401
36 O 0.797 0.297 0.068
37 O 0.802 0.605 0.397
38 O 0.875 0.883 0.769
39 O 0.894 0.130 0.632
40 O 0.903 0.879 0.074
41 O 0.914 0.602 0.690
42 O 0.995 0.585 0.136